Computed XRD peak list
Compound: V2B3
Radiation: Cu Kα (λ = 1.5418 Å)
Structure: a PBE-relaxed structure
Neutral-atom scattering factors, no anomalous dispersion.

Peak list (8 most intense, 2θ = 5–70°, by intensity)
2θ 45.1, I 100; 2θ 35.9, I 80; 2θ 45.6, I 65; 2θ 29.8, I 33; 2θ 39.2, I 24; 2θ 59.0, I 17; 2θ 61.0, I 16; 2θ 49.5, I 16

Structural model:
Cell: 9.324 9.324 2.978 Å, 90.00 90.00 161.25°
Atoms (fractional coordinates):
1 V 0.071 0.929 0.750
2 V 0.205 0.795 0.250
3 V 0.795 0.205 0.750
4 V 0.929 0.071 0.250
5 B 0.331 0.669 0.250
6 B 0.382 0.618 0.750
7 B 0.476 0.524 0.750
8 B 0.524 0.476 0.250
9 B 0.618 0.382 0.250
10 B 0.669 0.331 0.750